# LaNdGaPd
Computed powder X-ray diffraction pattern, CuKα. Input: a crystal structure in Alexandria, relaxed with PBE.
Intensities are scaled so that the largest is 100.

Principal peaks in the range 10° ≤ 2θ ≤ 80°, in order of rising 2θ:
two_theta	Rel. int.
25.96	14
29.62	100
32.53	38
33.84	17
38.31	50
39.46	23
40.01	26
41.08	24
52.47	19
58.27	14
58.68	17
79.31	15

Structural model:
```
data_LaNdGaPd
_cell_length_a 4.5073
_cell_length_b 4.3945
_cell_length_c 10.5945
_cell_angle_alpha 90.00
_cell_angle_beta 90.00
_cell_angle_gamma 90.00
_symmetry_space_group_name_H-M 'A m m 2'
_symmetry_Int_Tables_number 38
loop_
_symmetry_equiv_pos_as_xyz
'x,y,z'
'-x,-y,z'
'-x,y,z'
'x,-y,z'
'x,y+1/2,z+1/2'
'-x,-y+1/2,z+1/2'
'-x,y+1/2,z+1/2'
'x,-y+1/2,z+1/2'
loop_
_atom_site_label
_atom_site_type_symbol
_atom_site_fract_x
_atom_site_fract_y
_atom_site_fract_z
La1 La 0.0000 0.0000 0.0000
Nd1 Nd 0.5000 0.0000 0.7149
Ga1 Ga 0.5000 0.0000 0.4231
Pd1 Pd 0.0000 0.0000 0.2825
```



# Cd9Sb2As4
Computed powder X-ray diffraction pattern, CuKα. Input: a crystal structure in Alexandria, relaxed with PBE.
Intensities are scaled so that the largest is 100.

Principal peaks in the range 10° ≤ 2θ ≤ 80°, in order of rising 2θ:
two_theta	Rel. int.
25.45	33
26.72	31
28.69	100
28.92	28
29.24	52
29.29	72
33.43	37
35.72	76
37.73	31
42.13	46
43.59	96
43.94	54

Structural model:
```
data_Cd9Sb2As4
_cell_length_a 12.9105
_cell_length_b 7.1410
_cell_length_c 17.6770
_cell_angle_alpha 90.00
_cell_angle_beta 93.49
_cell_angle_gamma 90.00
_symmetry_space_group_name_H-M 'C 1 2/c 1'
_symmetry_Int_Tables_number 15
loop_
_symmetry_equiv_pos_as_xyz
'x,y,z'
'-x,-y,-z'
'-x,y,-z+1/2'
'x,-y,z+1/2'
'x+1/2,y+1/2,z'
'-x+1/2,-y+1/2,-z'
'-x+1/2,y+1/2,-z+1/2'
'x+1/2,-y+1/2,z+1/2'
loop_
_atom_site_label
_atom_site_type_symbol
_atom_site_fract_x
_atom_site_fract_y
_atom_site_fract_z
Cd1 Cd 0.0000 0.2348 0.2500
Cd2 Cd 0.0325 0.4049 0.9038
Cd3 Cd 0.1350 0.1409 0.4736
Cd4 Cd 0.2033 0.3134 0.6828
Cd5 Cd 0.2194 0.1553 0.0900
Sb1 Sb 0.0249 0.0138 0.6231
As1 As 0.1610 0.4692 0.2989
As2 As 0.1617 0.4976 0.5416
```